Calculated powder XRD pattern of Cs2CrPCl6 for Cu Ka, from a PBE-relaxed structure.
Intensities are scaled so that the largest is 100.

Structure:
Lattice parameters (Å, degrees): 7.1059 7.1059 11.5503 90.00 90.00 90.00
Space group I4/mmm (No. 139)
Symmetry-distinct sites (fractional):
Cs 0.0000 0.5000 0.2500 x4
Cr 0.0000 0.0000 0.0000 x2
P 0.0000 0.0000 0.5000 x2
Cl 0.0000 0.0000 0.2039 x4
Cl 0.2438 0.2438 0.5000 x8

Peak list (10 most intense, 2θ from 10° to 90°, most intense first)
3.026 Å, I = 100
3.791 Å, I = 99
2.512 Å, I = 63
1.895 Å, I = 44
2.888 Å, I = 41
3.553 Å, I = 39
2.094 Å, I = 39
1.776 Å, I = 27
1.532 Å, I = 23
1.513 Å, I = 20